Record 1
Diffraction record for Ba8Fe8O21. The X-ray powder pattern is computed, not measured: it uses DFT lattice parameters and positions (PBE+U) and CuKα.
Lines closer than 0.1° are merged.

Structure:
```
data_Ba8Fe8O21
_chemical_formula_sum 'Ba8 Fe8 O21'
_space_group_name_H-M_alt 'P -1'
_space_group_IT_number 2
_space_group_name_Hall '-P 1'
_cell_length_a 5.7442
_cell_length_b 5.7831
_cell_length_c 19.0404
_cell_angle_alpha 97.62
_cell_angle_beta 90.67
_cell_angle_gamma 119.40
loop_
_atom_site_label
_atom_site_fract_x
_atom_site_fract_y
_atom_site_fract_z
_atom_site_occupancy
Ba1 0.0000 0.0000 0.0000 1
Ba2 0.1194 0.2401 0.3718 1
Ba3 0.2535 0.5053 0.7536 1
Ba4 0.3744 0.7512 0.1270 1
Ba5 0.5000 0.0000 0.5000 1
Fe1 0.0440 0.1087 0.1863 1
Fe2 0.1705 0.3416 0.5564 1
Fe3 0.3578 0.6462 0.9308 1
Fe4 0.4065 0.8161 0.3044 1
O1 0.0000 0.0000 0.5000 1
O2 0.0000 0.5000 0.5000 1
O3 0.1123 0.7310 0.3756 1
O4 0.1247 0.7402 0.8826 1
O5 0.1308 0.2600 0.8766 1
O6 0.2302 0.4733 0.2473 1
O7 0.2589 0.0050 0.7492 1
O8 0.2652 0.0056 0.2586 1
O9 0.3522 0.2327 0.1269 1
O10 0.3812 0.2559 0.6255 1
O11 0.5000 0.0000 0.0000 1
O12 0.5000 0.5000 0.0000 1
O13 0.5000 0.5000 0.5000 1
```

Top 8 peaks for 2θ = 15–90°, in order of rising 2θ:
| 2theta | I/Imax | index |
| --- | --- | --- |
| 30.79 | 100 | -1 1 5 |
| 30.94 | 48 | 1 -2 1 |
| 31.04 | 47 | 1 0 5 |
| 31.19 | 91 | 0 1 -6 |
| 43.80 | 29 | 0 2 4 |
| 44.39 | 29 | 2 0 -6 |
| 44.98 | 29 | 2 -2 6 |
| 55.45 | 28 | 3 -3 1 |

Record 2
Diffraction record for Li3Fe2Si2O8. The X-ray powder pattern is computed, not measured: it uses DFT lattice parameters and positions (PBE+U) and CuKα.
Lines closer than 0.1° are merged.

Structure:
```
data_Li3Fe2Si2O8
_chemical_formula_sum 'Li3 Fe2 Si2 O8'
_space_group_name_H-M_alt 'P 1'
_space_group_IT_number 1
_space_group_name_Hall 'P 1'
_cell_length_a 5.0350
_cell_length_b 5.5285
_cell_length_c 6.2266
_cell_angle_alpha 89.43
_cell_angle_beta 89.79
_cell_angle_gamma 89.18
loop_
_atom_site_label
_atom_site_fract_x
_atom_site_fract_y
_atom_site_fract_z
_atom_site_occupancy
Li1 0.0000 0.0000 0.0000 1
Li2 0.9997 0.0066 0.5106 1
Li3 0.5005 0.6720 0.5085 1
Fe1 0.5082 0.1717 0.7608 1
Fe2 0.9938 0.5020 0.2486 1
Si1 0.5039 0.1689 0.2586 1
Si2 0.9844 0.5012 0.7512 1
O1 0.0732 0.6436 0.9749 1
O2 0.0968 0.2176 0.7540 1
O3 0.0976 0.6452 0.5265 1
O4 0.1706 0.1879 0.2558 1
O5 0.5960 0.0132 0.4729 1
O6 0.6150 0.0405 0.0434 1
O7 0.6244 0.4464 0.2754 1
O8 0.6642 0.5021 0.7351 1
```

Top 8 peaks for 2θ = 15–90°, in order of rising 2θ:
| 2theta | I/Imax | index |
| --- | --- | --- |
| 16.03 | 100 | 0 1 0 |
| 23.73 | 89 | 1 1 0 |
| 24.08 | 95 | 1 -1 0 |
| 28.68 | 60 | 0 0 2 |
| 32.39 | 37 | 0 2 0 |
| 32.88 | 44 | 0 1 2 |
| 33.17 | 36 | 0 1 -2 |
| 35.67 | 72 | 2 0 0 |

Record 3
Diffraction record for NaCrO3. The X-ray powder pattern is computed, not measured: it uses DFT lattice parameters and positions (PBE+U) and CuKα.
Lines closer than 0.1° are merged.

Structure:
```
data_NaCrO3
_chemical_formula_sum 'Na1 Cr1 O3'
_space_group_name_H-M_alt 'P m -3 m'
_space_group_IT_number 221
_space_group_name_Hall '-P 4 2 3'
_cell_length_a 3.7481
_cell_length_b 3.7481
_cell_length_c 3.7481
_cell_angle_alpha 90.00
_cell_angle_beta 90.00
_cell_angle_gamma 90.00
loop_
_atom_site_label
_atom_site_fract_x
_atom_site_fract_y
_atom_site_fract_z
_atom_site_occupancy
Na1 0.0000 0.0000 0.0000 1
Cr1 0.5000 0.5000 0.5000 1
O1 0.0000 0.5000 0.5000 1
```

Top 8 peaks for 2θ = 15–90°, in order of rising 2θ:
| 2theta | I/Imax | index |
| --- | --- | --- |
| 23.74 | 76 | 1 0 0 |
| 33.82 | 100 | 1 1 0 |
| 48.58 | 67 | 2 0 0 |
| 54.76 | 22 | 2 1 0 |
| 60.51 | 34 | 2 1 1 |
| 71.15 | 34 | 2 2 0 |
| 76.20 | 9 | 3 0 0 |
| 81.15 | 14 | 3 1 0 |

Record 4
Diffraction record for FeBiO3. The X-ray powder pattern is computed, not measured: it uses DFT lattice parameters and positions (PBE+U) and CuKα.
Lines closer than 0.1° are merged.

Structure:
```
data_FeBiO3
_chemical_formula_sum 'Fe3 Bi3 O9'
_space_group_name_H-M_alt 'R 3'
_space_group_IT_number 146
_space_group_name_Hall 'R 3'
_cell_length_a 6.0452
_cell_length_b 6.0452
_cell_length_c 11.3067
_cell_angle_alpha 90.00
_cell_angle_beta 90.00
_cell_angle_gamma 120.00
loop_
_atom_site_label
_atom_site_fract_x
_atom_site_fract_y
_atom_site_fract_z
_atom_site_occupancy
Fe1 0.0000 0.0000 0.0000 1
Bi1 0.0000 0.0000 0.7431 1
O1 0.0624 0.3653 0.6750 1
```

Top 8 peaks for 2θ = 15–90°, in order of rising 2θ:
| 2theta | I/Imax | index |
| --- | --- | --- |
| 18.68 | 100 | 1 0 1 |
| 23.16 | 24 | 0 1 2 |
| 23.61 | 26 | 0 0 3 |
| 29.55 | 42 | 1 1 0 |
| 35.19 | 18 | 0 2 1 |
| 36.11 | 31 | 1 0 4 |
| 38.17 | 33 | 1 1 3 |
| 46.60 | 19 | 3 -1 1 |

Record 5
Diffraction record for VBi2O6. The X-ray powder pattern is computed, not measured: it uses DFT lattice parameters and positions (PBE+U) and CuKα.
Lines closer than 0.1° are merged.

Structure:
```
data_VBi2O6
_chemical_formula_sum 'V4 Bi8 O24'
_space_group_name_H-M_alt 'P 1 21/c 1'
_space_group_IT_number 14
_space_group_name_Hall '-P 2ybc'
_cell_length_a 6.9830
_cell_length_b 7.8438
_cell_length_c 10.9106
_cell_angle_alpha 90.00
_cell_angle_beta 107.67
_cell_angle_gamma 90.00
loop_
_atom_site_label
_atom_site_fract_x
_atom_site_fract_y
_atom_site_fract_z
_atom_site_occupancy
V1 0.1215 0.0501 0.3338 1
Bi1 0.2653 0.6038 0.4863 1
Bi2 0.3792 0.1670 0.6623 1
O1 0.1243 0.0181 0.7268 1
O2 0.1428 0.1992 0.4571 1
O3 0.1792 0.1278 0.1981 1
O4 0.2873 0.6172 0.9019 1
O5 0.4146 0.7488 0.6552 1
O6 0.4817 0.0993 0.0906 1
```

Top 8 peaks for 2θ = 15–90°, in order of rising 2θ:
| 2theta | I/Imax | index |
| --- | --- | --- |
| 20.50 | 33 | 0 1 2 |
| 26.45 | 100 | 1 2 -1 |
| 27.09 | 53 | 2 0 -2 |
| 27.25 | 55 | 1 1 2 |
| 28.15 | 49 | 0 1 3 |
| 29.21 | 20 | 1 2 -2 |
| 32.71 | 25 | 2 1 1 |
| 34.96 | 19 | 1 1 -4 |

Record 6
Diffraction record for RbFeO2. The X-ray powder pattern is computed, not measured: it uses DFT lattice parameters and positions (PBE+U) and CuKα.
Lines closer than 0.1° are merged.

Structure:
a = 8.5930 Å, b = 8.5930 Å, c = 8.5930 Å
α = 90.00°, β = 90.00°, γ = 90.00°
Space group Fd-3m (No. 227, origin choice 2)
Symmetry-distinct sites (fractional):
Rb: 0.1250 0.1250 0.1250
Fe: 0.1250 0.1250 0.6250
O: 0.0000 0.0000 0.5000

Top 8 peaks for 2θ = 15–90°, in order of rising 2θ:
| 2theta | I/Imax | index |
| --- | --- | --- |
| 29.40 | 100 | 2 2 0 |
| 34.62 | 8 | 3 1 1 |
| 42.06 | 11 | 4 0 0 |
| 52.15 | 38 | 4 2 2 |
| 61.00 | 16 | 4 4 0 |
| 69.14 | 16 | 6 2 0 |
| 76.86 | 3 | 4 4 4 |
| 84.34 | 18 | 6 4 2 |